# 1
Structure and theoretical powder XRD pattern of SrMgTiO3 (a DFT-relaxed cell (GGA-PBE, the Materials Project); Cu Kα (λ = 1.5418 Å)).
Peak positions follow from Bragg's law for the DFT cell and can differ from measured ones.

Structural model:
```
6
Lattice="3.9387 0.0000 0.0000 0.0000 3.9387 0.0000 0.0000 0.0000 6.4194" Properties=species:S:1:pos:R:3 pbc="T T T"
Sr 0.0000 0.0000 0.0000
Mg 0.0000 0.0000 3.2097
Ti 1.9694 1.9694 3.2097
O 0.0000 1.9694 3.2097
O 1.9694 0.0000 3.2097
O 1.9694 1.9694 0.0000
```

Principal peaks in the range 2θ from 10° to 90°, in order of rising 2θ:
two_theta, d_spacing, I_rel
26.55, 3.357, 83
27.79, 3.210, 100
32.14, 2.785, 62
35.12, 2.555, 20
43.00, 2.104, 55
46.09, 1.969, 45
53.99, 1.698, 28
54.68, 1.679, 51
74.24, 1.277, 19
76.58, 1.244, 17

=====

# 2
Structure and theoretical powder XRD pattern of Sr2MgTiO4 (a DFT-relaxed cell (GGA-PBE, the Materials Project); Cu Kα (λ = 1.5418 Å)).
Peak positions follow from Bragg's law for the DFT cell and can differ from measured ones.

Structural model:
```
8
Lattice="2.8941 -2.7281 0.0000 2.8941 2.7281 0.0000 -0.7232 0.0000 8.1553" Properties=species:S:1:pos:R:3 pbc="T T T"
Sr 0.0000 0.0000 0.0000
Sr 2.9603 0.0000 2.5747
Mg 2.1638 0.0000 6.1212
Ti 0.0234 0.0000 4.3587
O 0.4021 0.0000 2.3798
O 1.7504 1.3232 4.4948
O 2.5375 0.0000 8.1360
O 1.7504 -1.3232 4.4948
```

Principal peaks in the range 2θ from 10° to 90°, in order of rising 2θ:
two_theta, d_spacing, I_rel
10.85, 8.155, 34
25.58, 3.482, 40
30.49, 2.932, 100
31.02, 2.883, 60
32.45, 2.759, 61
32.83, 2.728, 57
32.95, 2.718, 23
44.43, 2.039, 21
45.79, 1.981, 49
52.63, 1.739, 28

=====

# 3
Structure and theoretical powder XRD pattern of Sr2MgUO6 (a DFT-relaxed cell (GGA-PBE, the Materials Project); Cu Kα (λ = 1.5418 Å)).
Peak positions follow from Bragg's law for the DFT cell and can differ from measured ones.

Structural model:
```
20
Lattice="5.8515 0.0000 0.0000 0.0000 5.8760 0.0000 -5.8068 0.0000 8.2604" Properties=species:S:1:pos:R:3 pbc="T T T"
Sr -0.0426 0.1861 2.0469
Sr -2.9460 2.7519 6.1770
Sr 2.9907 3.1241 2.0833
Sr 0.0873 5.6899 6.2135
Mg -2.9034 0.0000 4.1302
Mg 0.0000 2.9380 0.0000
U 2.9257 0.0000 0.0000
U 0.0223 2.9380 4.1302
O -4.5223 1.2637 7.9286
O -1.6189 1.6743 3.7984
O -4.1419 4.2364 7.8976
O -1.2385 4.5776 3.7675
O -2.4278 0.1117 6.2204
O 0.4756 2.8263 2.0903
O -0.4309 3.0497 6.1701
O 2.4725 5.7644 2.0399
O 1.2832 1.2984 4.4929
O 4.1865 1.6396 0.3627
O 1.6636 4.2017 4.4620
O 4.5670 4.6123 0.3318
```

Principal peaks in the range 2θ from 10° to 90°, in order of rising 2θ:
two_theta, d_spacing, I_rel
18.53, 4.788, 84
18.63, 4.763, 31
30.47, 2.934, 100
30.59, 2.922, 99
35.90, 2.501, 41
36.01, 2.494, 21
43.66, 2.073, 38
43.84, 2.065, 19
54.16, 1.693, 41
54.28, 1.690, 23

=====

# 4
Structure and theoretical powder XRD pattern of SrYMg6O8 (a DFT-relaxed cell (GGA-PBE, the Materials Project); Cu Kα (λ = 1.5418 Å)).
Peak positions follow from Bragg's law for the DFT cell and can differ from measured ones.

Structural model:
```
16
Lattice="4.6131 0.0000 0.0000 0.0000 4.6131 0.0000 0.0000 0.0000 9.1848" Properties=species:S:1:pos:R:3 pbc="T T T"
Sr 0.0000 0.0000 0.0000
Y 0.0000 0.0000 4.5924
Mg 0.0000 2.3066 2.2629
Mg 0.0000 2.3066 6.9218
Mg 2.3066 0.0000 2.2629
Mg 2.3066 0.0000 6.9218
Mg 2.3066 2.3066 0.0000
Mg 2.3066 2.3066 4.5924
O 0.0000 0.0000 2.3934
O 0.0000 0.0000 6.7913
O 0.0000 2.3066 0.0000
O 0.0000 2.3066 4.5924
O 2.3066 0.0000 0.0000
O 2.3066 0.0000 4.5924
O 2.3066 2.3066 2.3056
O 2.3066 2.3066 6.8792
```

Principal peaks in the range 2θ from 10° to 90°, in order of rising 2θ:
two_theta, d_spacing, I_rel
19.27, 4.606, 70
27.38, 3.257, 59
33.70, 2.659, 56
39.05, 2.307, 100
39.23, 2.296, 49
43.91, 2.062, 22
56.42, 1.631, 31
56.55, 1.627, 60
67.35, 1.390, 19
70.87, 1.330, 28